La3DyIn3: simulated PXRD pattern (λ = 1.5418 Å (Cu Kα)), based on the GGA-PBE geometry in Alexandria.
Intensities are scaled so that the largest is 100.

Largest 12 diffraction maxima, sorted by position, 2θ = 10–80°:
- 22.7 deg, rel. 17
- 26.2 deg, rel. 26
- 29.4 deg, rel. 90
- 30.9 deg, rel. 60
- 33.6 deg, rel. 90
- 34.9 deg, rel. 100
- 38.6 deg, rel. 15
- 39.8 deg, rel. 23
- 48.3 deg, rel. 16
- 51.2 deg, rel. 21
- 59.3 deg, rel. 24
- 61.8 deg, rel. 43

Structure:
abc: 9.6128 9.6128 9.6128
angles: 90.00 90.00 90.00
Positions (direct):
La: 0.0370 0.4630 0.5370
La: 0.1184 0.8816 0.3816
La: 0.2084 0.2084 0.2084
La: 0.2916 0.7916 0.7084
La: 0.3816 0.1184 0.8816
La: 0.4630 0.5370 0.0370
La: 0.5370 0.0370 0.4630
La: 0.6184 0.6184 0.6184
La: 0.7084 0.2916 0.7916
La: 0.7916 0.7084 0.2916
La: 0.8816 0.3816 0.1184
La: 0.9630 0.9630 0.9630
Dy: 0.0890 0.5890 0.9110
Dy: 0.4110 0.4110 0.4110
Dy: 0.5890 0.9110 0.0890
Dy: 0.9110 0.0890 0.5890
In: 0.0662 0.2663 0.8391
In: 0.1609 0.5662 0.2337
In: 0.2337 0.1609 0.5662
In: 0.2663 0.8391 0.0662
In: 0.3391 0.4338 0.7337
In: 0.4338 0.7337 0.3391
In: 0.5662 0.2337 0.1609
In: 0.6609 0.9338 0.7663
In: 0.7337 0.3391 0.4338
In: 0.7663 0.6609 0.9338
In: 0.8391 0.0662 0.2663
In: 0.9338 0.7663 0.6609